The following is a theoretical PXRD pattern of TaI2Cl3. It was derived from a DFT-relaxed cell (GGA-PBE, OQMD), using λ = 1.5418 Å (Cu Kα).
Neutral-atom scattering factors, no anomalous dispersion.

Largest 10 diffraction maxima, in order of rising 2θ, 2θ = 5–70°:
6.461 Å, 13.71°, I 91, hkl 0 1 -1; 6.050 Å, 14.64°, I 88, hkl 1 0 0; 5.829 Å, 15.20°, I 78, hkl 1 -1 0; 5.323 Å, 16.65°, I 100, hkl 1 -1 1; 4.534 Å, 19.58°, I 36, hkl 0 1 1; 3.617 Å, 24.61°, I 35, hkl 1 -2 1; 3.161 Å, 28.24°, I 70, hkl 1 0 -3; 3.055 Å, 29.23°, I 68, hkl 1 1 1; 2.901 Å, 30.82°, I 55, hkl 2 -2 1; 2.449 Å, 36.70°, I 31, hkl 1 1 -4

Structural model:
Unit cell a=6.771 b=7.341 c=10.488 alpha=108.33 beta=93.89 gamma=113.58
Space group P-1 (No. 2)
Symmetry-distinct sites (fractional):
Ta  0.116  0.227  0.220
I  0.076  0.812  0.569
I  0.249  0.189  0.959
Cl  0.097  0.621  0.844
Cl  0.301  0.031  0.251
Cl  0.422  0.549  0.321

The following is a theoretical PXRD pattern of ZrICl2. It was derived from a DFT-relaxed cell (GGA-PBE, OQMD), using λ = 1.5418 Å (Cu Kα).
Neutral-atom scattering factors, no anomalous dispersion.

Largest 10 diffraction maxima, in order of rising 2θ, 2θ = 5–70°:
6.242 Å, 14.19°, I 31, hkl 0 0 2; 5.946 Å, 14.90°, I 100, hkl 0 1 1; 4.292 Å, 20.70°, I 52, hkl 1 1 1; 3.077 Å, 29.02°, I 87, hkl 1 1 3; 2.971 Å, 30.08°, I 46, hkl 1 2 0; 2.777 Å, 32.24°, I 22, hkl 2 0 2; 2.334 Å, 38.58°, I 35, hkl 2 1 3; 2.285 Å, 39.43°, I 30, hkl 2 2 0; 2.200 Å, 41.03°, I 18, hkl 2 0 4; 1.982 Å, 45.78°, I 26, hkl 0 3 3

Structural model:
Unit cell a=6.201 b=6.763 c=12.483 alpha=90.00 beta=90.00 gamma=90.00
Space group Ama2 (No. 40)
Symmetry-distinct sites (fractional):
Zr  0.000  0.000  0.000
I  0.250  0.192  0.834
Cl  0.250  0.150  0.144
Cl  0.250  0.200  0.512

The following is a theoretical PXRD pattern of ZrI2Cl2. It was derived from a DFT-relaxed cell (GGA-PBE, OQMD), using λ = 1.5418 Å (Cu Kα).
Neutral-atom scattering factors, no anomalous dispersion.

Largest 10 diffraction maxima, in order of rising 2θ, 2θ = 5–70°:
7.880 Å, 11.23°, I 100, hkl 0 1 0; 6.812 Å, 13.00°, I 38, hkl 1 0 0; 5.096 Å, 17.40°, I 23, hkl 0 1 1; 3.660 Å, 24.32°, I 48, hkl 1 1 1; 3.407 Å, 26.16°, I 27, hkl 2 0 0; 3.265 Å, 27.31°, I 52, hkl 1 2 -1; 2.918 Å, 30.64°, I 54, hkl 2 0 -2; 2.852 Å, 31.37°, I 91, hkl 1 2 1; 2.054 Å, 44.09°, I 34, hkl 3 2 -1; 2.025 Å, 44.75°, I 32, hkl 1 2 -3

Structural model:
Unit cell a=7.222 b=7.880 c=7.084 alpha=90.00 beta=109.39 gamma=90.00
Space group P2/c (No. 13)
Symmetry-distinct sites (fractional):
Zr  0.000  0.175  0.250
I  0.237  0.122  0.997
Cl  0.231  0.363  0.459